Entry 1:
Diffraction record for K2Rb5Hg. The powder diffraction line list is simulated, not measured: it uses the PBE geometry in Alexandria and Cu Kα X-rays.
Intensities are scaled so that the largest is 100.

Top 6 peaks for 2θ = 10–80°, in order of rising 2θ:
| 2θ/deg | d [Å] | I (rel.) |
| --- | --- | --- |
| 18.81 | 4.716 | 43.9 |
| 22.35 | 3.977 | 47.4 |
| 24.25 | 3.671 | 71.8 |
| 24.38 | 3.651 | 82.9 |
| 25.08 | 3.551 | 100.0 |
| 26.04 | 3.422 | 60.9 |

```
K2Rb5Hg
1.0
2.5032 -8.0698 0.0000
2.5032 8.0698 0.0000
0.0000 0.0000 28.6594
K Rb Hg
4 10 2
direct
0.1963 0.8037 0.6752 K
0.1963 0.8037 0.8248 K
0.8037 0.1963 0.1752 K
0.8037 0.1963 0.3248 K
0.0909 0.9091 0.1155 Rb
0.0909 0.9091 0.3845 Rb
0.3654 0.6346 0.0355 Rb
0.3654 0.6346 0.4645 Rb
0.4804 0.5196 0.7500 Rb
0.5196 0.4804 0.2500 Rb
0.6346 0.3654 0.5355 Rb
0.6346 0.3654 0.9645 Rb
0.9091 0.0909 0.6155 Rb
0.9091 0.0909 0.8845 Rb
0.1982 0.8018 0.2500 Hg
0.8018 0.1982 0.7500 Hg
```

=====

Entry 2:
Diffraction record for K2Rb8Hg3. The powder diffraction line list is simulated, not measured: it uses the PBE geometry in Alexandria and Cu Kα X-rays.
Intensities are scaled so that the largest is 100.

Top 6 peaks for 2θ = 10–80°, in order of rising 2θ:
| 2θ/deg | d [Å] | I (rel.) |
| --- | --- | --- |
| 25.22 | 3.532 | 100.0 |
| 27.56 | 3.237 | 27.1 |
| 28.32 | 3.152 | 24.0 |
| 30.86 | 2.898 | 49.8 |
| 39.93 | 2.258 | 18.5 |
| 51.76 | 1.766 | 17.7 |

```
K2Rb8Hg3
1.0
12.9454 0.0000 0.0000
0.0000 6.3035 0.0000
-6.4550 0.0000 11.3330
K Rb Hg
2 8 3
direct
0.2487 0.0000 0.4961 K
0.7513 0.0000 0.5039 K
0.0960 0.5000 0.1919 Rb
0.1486 0.0000 0.8033 Rb
0.3449 0.0000 0.1957 Rb
0.4039 0.5000 0.8077 Rb
0.5961 0.5000 0.1923 Rb
0.6551 0.0000 0.8043 Rb
0.8514 0.0000 0.1967 Rb
0.9040 0.5000 0.8081 Rb
0.0000 0.0000 0.0000 Hg
0.2494 0.5000 0.9997 Hg
0.7506 0.5000 0.0003 Hg
```